CsFe2BiCl8: simulated powder X-ray diffraction pattern (Cu Kα), based on a cell relaxed with GGA-PBE.
Intensities are scaled so that the largest is 100.

Principal peaks in the range 2θ = 10–80°, in order of rising 2θ:
(1 1 0), 6.110 Å, 2θ = 14.5°, intensity 69; (1 1 -1), 5.420 Å, 2θ = 16.4°, intensity 50; (2 0 0), 5.347 Å, 2θ = 16.6°, intensity 85; (1 1 -2), 4.068 Å, 2θ = 21.8°, intensity 100; (1 1 2), 3.788 Å, 2θ = 23.5°, intensity 97; (0 2 0), 3.722 Å, 2θ = 23.9°, intensity 55; (3 1 0), 3.215 Å, 2θ = 27.7°, intensity 81; (0 2 2), 3.009 Å, 2θ = 29.7°, intensity 60; (3 1 -2), 2.873 Å, 2θ = 31.1°, intensity 46; (4 2 2), 1.929 Å, 2θ = 47.1°, intensity 43

Crystal structure
```
data_CsFe2BiCl8
_chemical_formula_sum 'Cs2 Fe4 Bi2 Cl16'
_cell_length_a 10.7807
_cell_length_b 7.4445
_cell_length_c 10.3060
_cell_angle_alpha 90.00
_cell_angle_beta 97.26
_cell_angle_gamma 90.00
_symmetry_space_group_name_H-M 'C 1 2/m 1'
_symmetry_Int_Tables_number 12
loop_
_symmetry_equiv_pos_as_xyz
'x,y,z'
'-x,-y,-z'
'-x,y,-z'
'x,-y,z'
'x+1/2,y+1/2,z'
'-x+1/2,-y+1/2,-z'
'-x+1/2,y+1/2,-z'
'x+1/2,-y+1/2,z'
loop_
_atom_site_label
_atom_site_fract_x
_atom_site_fract_y
_atom_site_fract_z
Cs1 0.0000 0.0000 0.0000
Fe1 0.1134 0.5000 0.2894
Bi1 0.0000 0.0000 0.5000
Cl1 0.0162 0.2539 0.6993
Cl2 0.1876 0.5000 0.0983
Cl3 0.2450 0.5000 0.4844
```